(1)
This entry pairs a crystal structure of HoAlAg2 with its simulated X-ray powder pattern. Radiation: copper Kα. Structure: the GGA-PBE geometry in the Materials Project.
No peak broadening, texture or thermal motion is included.

Cell and atoms:
abc: 6.825 6.825 6.825
angles: 90.00 90.00 90.00
Space group Fm-3m (No. 225)
Unique sites:
Ho: 0.000 0.000 0.000 (multiplicity 4)
Al: 0.000 0.000 0.500 (multiplicity 4)
Ag: 0.250 0.250 0.250 (multiplicity 8)

Peak list (6 most intense, 5 to 70 degrees two-theta, in order of falling intensity)
hkl 2 2 0, 2θ = 37.3°, intensity 100; hkl 4 2 2, 2θ = 67.2°, intensity 34; hkl 1 1 1, 2θ = 22.6°, intensity 25; hkl 4 0 0, 2θ = 53.7°, intensity 17; hkl 3 1 1, 2θ = 44.0°, intensity 14; hkl 3 3 1, 2θ = 59.0°, intensity 6

---

(2)
This entry pairs a crystal structure of ScN with its simulated X-ray powder pattern. Radiation: copper Kα. Structure: the GGA-PBE geometry in the Materials Project.
No peak broadening, texture or thermal motion is included.

Cell and atoms:
abc: 4.896 4.896 4.896
angles: 90.00 90.00 90.00
Space group F-43m (No. 216)
Unique sites:
Sc: 0.000 0.000 0.000 (multiplicity 4)
N: 0.250 0.250 0.750 (multiplicity 4)

Peak list (5 most intense, 5 to 70 degrees two-theta, in order of falling intensity)
hkl 1 1 1, 2θ = 31.7°, intensity 100; hkl 2 2 0, 2θ = 52.9°, intensity 45; hkl 3 1 1, 2θ = 63.0°, intensity 33; hkl 2 0 0, 2θ = 36.7°, intensity 22; hkl 2 2 2, 2θ = 66.1°, intensity 5

---

(3)
This entry pairs a crystal structure of SrCd2Ga2 with its simulated X-ray powder pattern. Radiation: copper Kα. Structure: the GGA-PBE geometry in the Materials Project.
No peak broadening, texture or thermal motion is included.

Cell and atoms:
abc: 4.604 4.604 11.496
angles: 90.00 90.00 90.00
Space group I4/mmm (No. 139)
Unique sites:
Sr: 0.000 0.000 0.000 (multiplicity 2)
Cd: 0.000 0.500 0.250 (multiplicity 4)
Ga: 0.000 0.000 0.391 (multiplicity 4)

Peak list (6 most intense, 5 to 70 degrees two-theta, in order of falling intensity)
hkl 1 1 2, 2θ = 31.6°, intensity 100; hkl 2 0 0, 2θ = 39.1°, intensity 50; hkl 1 1 4, 2θ = 41.9°, intensity 29; hkl 1 0 3, 2θ = 30.3°, intensity 23; hkl 3 1 2, 2θ = 66.2°, intensity 22; hkl 1 0 5, 2θ = 44.0°, intensity 17